(1)
Structure and theoretical PXRD pattern of Pb13Cl6O10 (the GGA-PBE geometry in Alexandria; CuKα).
Kinematic intensities with the Lorentz-polarization factor, no thermal factor.

a = 16.563 Å, b = 7.270 Å, c = 24.381 Å
α = 90.00°, β = 98.10°, γ = 90.00°
Space group C2/c (No. 15)
Unique sites:
Pb: 0.000 0.228 0.250 [4 per cell]
Pb: 0.047 0.241 0.011 [8 per cell]
Pb: 0.081 0.074 0.632 [8 per cell]
Pb: 0.106 0.212 0.793 [8 per cell]
Pb: 0.138 0.082 0.419 [8 per cell]
Pb: 0.175 0.433 0.150 [8 per cell]
Pb: 0.233 0.397 0.938 [8 per cell]
Cl: 0.031 0.458 0.861 [8 per cell]
Cl: 0.162 0.347 0.545 [8 per cell]
Cl: 0.177 0.164 0.245 [8 per cell]
O: 0.011 0.008 0.942 [8 per cell]
O: 0.025 0.011 0.318 [8 per cell]
O: 0.141 0.189 0.097 [8 per cell]
O: 0.172 0.153 0.982 [8 per cell]
O: 0.196 0.143 0.866 [8 per cell]

Most intense lines, 10° ≤ 2θ ≤ 90°, in order of rising 2θ:
13.32 deg, I 44, (1 1 0)
28.67 deg, I 62, (0 2 4)
29.07 deg, I 58, (3 1 5)
29.91 deg, I 100, (2 2 -4)
30.08 deg, I 61, (2 0 -8)
30.57 deg, I 99, (5 1 -3)
30.79 deg, I 44, (0 2 5)
31.70 deg, I 51, (5 1 2)
31.85 deg, I 73, (3 1 6)
41.13 deg, I 57, (3 3 1)


(2)
Structure and theoretical PXRD pattern of Pb5Cl5O2 (the GGA-PBE geometry in Alexandria; CuKα).
Kinematic intensities with the Lorentz-polarization factor, no thermal factor.

a = 14.755 Å, b = 3.753 Å, c = 11.741 Å
α = 90.00°, β = 107.14°, γ = 90.00°
Space group C2/m (No. 12)
Unique sites:
Pb: 0.000 0.000 0.000 [2 per cell]
Pb: 0.106 0.000 0.375 [4 per cell]
Pb: 0.133 0.500 0.796 [4 per cell]
Cl: 0.000 0.500 0.500 [2 per cell]
Cl: 0.166 0.500 0.060 [4 per cell]
Cl: 0.227 0.000 0.636 [4 per cell]
O: 0.032 0.000 0.797 [4 per cell]

Most intense lines, 10° ≤ 2θ ≤ 90°, in order of rising 2θ:
22.99 deg, I 51, (2 0 2)
23.41 deg, I 46, (2 0 -3)
25.25 deg, I 25, (4 0 0)
26.39 deg, I 27, (1 1 1)
30.04 deg, I 100, (3 1 -1)
33.08 deg, I 19, (1 1 -3)
35.77 deg, I 31, (1 1 3)
40.19 deg, I 20, (0 0 5)
42.73 deg, I 31, (5 1 1)
45.28 deg, I 29, (5 1 -4)


(3)
Structure and theoretical PXRD pattern of PdPb2Se2Cl2O6 (the GGA-PBE geometry in Alexandria; CuKα).
Kinematic intensities with the Lorentz-polarization factor, no thermal factor.

a = 8.456 Å, b = 5.394 Å, c = 13.311 Å
α = 90.00°, β = 123.36°, γ = 90.00°
Space group P2_1/c (No. 14)
Unique sites:
Pd: 0.000 0.000 0.000 [2 per cell]
Pb: 0.340 0.062 0.808 [4 per cell]
Se: 0.292 0.045 0.529 [4 per cell]
Cl: 0.053 0.602 0.686 [4 per cell]
O: 0.174 0.208 0.585 [4 per cell]
O: 0.436 0.231 0.027 [4 per cell]
O: 0.439 0.609 0.164 [4 per cell]

Most intense lines, 10° ≤ 2θ ≤ 90°, in order of rising 2θ:
19.55 deg, I 29, (1 1 -1)
21.12 deg, I 27, (2 0 -2)
24.62 deg, I 70, (1 1 1)
26.01 deg, I 30, (1 1 -3)
27.26 deg, I 34, (1 0 -4)
27.44 deg, I 100, (2 1 -1)
27.87 deg, I 28, (2 0 -4)
29.24 deg, I 37, (0 1 3)
38.23 deg, I 24, (3 0 0)
41.06 deg, I 29, (3 1 -5)


(4)
Structure and theoretical PXRD pattern of PbSeClO4 (the GGA-PBE geometry in Alexandria; CuKα).
Kinematic intensities with the Lorentz-polarization factor, no thermal factor.

a = 10.160 Å, b = 7.442 Å, c = 6.949 Å
α = 90.00°, β = 106.19°, γ = 90.00°
Space group C2/m (No. 12)
Unique sites:
Pb: 0.220 0.000 0.134 [4 per cell]
Se: 0.139 0.500 0.269 [4 per cell]
Cl: 0.024 0.000 0.765 [4 per cell]
O: 0.022 0.500 0.720 [4 per cell]
O: 0.177 0.327 0.133 [8 per cell]
O: 0.248 0.500 0.500 [4 per cell]

Most intense lines, 10° ≤ 2θ ≤ 90°, in order of rising 2θ:
13.27 deg, I 57, (0 0 1)
18.22 deg, I 95, (2 0 0)
23.91 deg, I 100, (0 2 0)
25.44 deg, I 51, (2 0 1)
28.40 deg, I 57, (1 1 -2)
29.54 deg, I 60, (3 1 -1)
30.21 deg, I 24, (2 2 0)
34.86 deg, I 38, (3 1 -2)
35.20 deg, I 28, (2 2 1)
45.71 deg, I 27, (3 3 -1)